Theoretical powder diffractogram of NaFe4F8 for Cu Kα, from a cell relaxed with PBE+U.
No peak broadening, texture or thermal motion is included.

Main lines, in order of rising 2θ (10° ≤ 2θ ≤ 80°):
| d [Å] | intensity |
| --- | --- |
| 5.460 | 100.0 |
| 2.788 | 27.4 |
| 2.674 | 7.9 |
| 2.328 | 67.6 |
| 1.803 | 19.1 |
| 1.659 | 16.1 |
| 1.634 | 20.4 |
| 1.565 | 15.1 |
| 1.337 | 8.5 |
| 1.318 | 6.8 |

Structure:
```
data_NaFe4F8
_space_group_name_H-M_alt 'R -3 m'
_space_group_IT_number 166
_space_group_name_Hall '-R 3 2"'
_cell_length_a 6.5344
_cell_length_b 6.5344
_cell_length_c 16.3804
_cell_angle_alpha 90.00
_cell_angle_beta 90.00
_cell_angle_gamma 120.00
loop_
_atom_site_label
_atom_site_type_symbol
_atom_site_fract_x
_atom_site_fract_y
_atom_site_fract_z
Na1 Na 0.0000 0.0000 0.0000
Fe1 Fe 0.0000 0.0000 0.5000
Fe2 Fe 0.0000 0.5000 0.5000
F1 F 0.0000 0.0000 0.2282
F2 F 0.0297 0.5149 0.7685
```